Structure and computed XRD peak list of Mn3O4 (the PBE+U geometry in Alexandria; a wavelength of 1.5418 Å).
Neutral-atom scattering factors, no anomalous dispersion.

Largest 10 diffraction maxima, by angle, 2θ from 10° to 90°:
(hkl), d/Å, I (rel.)
1 1 1, 2.809, 26
0 2 3, 2.726, 100
0 4 0, 2.510, 52
1 3 0, 2.260, 21
1 3 1, 2.201, 53
0 2 4, 2.191, 14
1 3 2, 2.050, 42
0 0 6, 1.624, 35
1 5 3, 1.491, 16
0 6 3, 1.486, 21

Structural model:
a = 3.0671 Å, b = 10.0264 Å, c = 9.7458 Å
α = 90.00°, β = 90.00°, γ = 90.00°
Space group Pbcm (No. 57)
Symmetry-distinct sites (fractional):
Mn 0.1815 0.1444 0.2500 x4
Mn 0.2922 0.6154 0.5698 x8
O 0.1298 0.2500 0.0000 x4
O 0.2900 0.5289 0.1125 x8
O 0.3148 0.7030 0.7500 x4